Computed powder XRD pattern of Cs2TlInI6 for Cu Kα, 1.54184 Å, from a cell relaxed with GGA-PBE.
Neutral-atom scattering factors, no anomalous dispersion.

Structural model:
Cell: 8.909 8.909 8.909 Å, 60.00 60.00 60.00°
Atoms (fractional coordinates):
Cs1 0.250 0.250 0.250
Cs2 0.750 0.750 0.750
Tl1 0.000 0.000 0.000
In1 0.500 0.500 0.500
I1 0.265 0.265 0.735
I2 0.265 0.735 0.265
I3 0.265 0.735 0.735
I4 0.735 0.265 0.265
I5 0.735 0.265 0.735
I6 0.735 0.735 0.265

Top 10 peaks for 10 to 90 degrees two-theta, low angle first:
2θ 14.06, intensity 29; 2θ 19.93, intensity 30; 2θ 24.47, intensity 53; 2θ 28.33, intensity 100; 2θ 31.76, intensity 15; 2θ 40.50, intensity 74; 2θ 47.89, intensity 22; 2θ 50.17, intensity 26; 2θ 66.36, intensity 31; 2θ 73.67, intensity 23

=====

Computed powder XRD pattern of K2ReCl6 for Cu Kα, 1.54184 Å, from a cell relaxed with GGA-PBE.
Neutral-atom scattering factors, no anomalous dispersion.

Structural model:
Cell: 7.144 7.144 7.144 Å, 60.00 60.00 60.00°
Atoms (fractional coordinates):
K1 0.250 0.250 0.250
K2 0.750 0.750 0.750
Re1 0.000 0.000 0.000
Cl1 0.235 0.235 0.765
Cl2 0.235 0.765 0.235
Cl3 0.235 0.765 0.765
Cl4 0.765 0.235 0.235
Cl5 0.765 0.235 0.765
Cl6 0.765 0.765 0.235

Top 10 peaks for 10 to 90 degrees two-theta, low angle first:
2θ 15.19, intensity 100; 2θ 17.56, intensity 40; 2θ 24.93, intensity 43; 2θ 29.32, intensity 47; 2θ 35.54, intensity 51; 2θ 39.91, intensity 19; 2θ 43.90, intensity 19; 2θ 46.72, intensity 24; 2θ 51.14, intensity 32; 2θ 53.67, intensity 23